No. 1
Structure and simulated powder X-ray diffraction pattern of La2Si3Rh (the PBE geometry in the Materials Project; Cu Kα, 1.54184 Å).

Most intense lines, 10 to 90 degrees two-theta, by angle:
d = 4.174 Å, 2θ 21.29, rel. 6, (1 1 0); d = 3.615 Å, 2θ 24.63, rel. 23, (2 0 0); d = 2.771 Å, 2θ 32.30, rel. 100, (2 0 1); d = 2.158 Å, 2θ 41.85, rel. 13, (0 0 2); d = 2.087 Å, 2θ 43.36, rel. 35, (2 2 0); d = 1.853 Å, 2θ 49.17, rel. 7, (2 0 2); d = 1.667 Å, 2θ 55.09, rel. 22, (4 0 1); d = 1.500 Å, 2θ 61.84, rel. 24, (2 2 2); d = 1.337 Å, 2θ 70.43, rel. 10, (2 0 3); d = 1.302 Å, 2θ 72.58, rel. 19, (4 2 1)

Atomic structure:
```
data_La2Si3Rh
_space_group_name_H-M_alt 'P 6/m m m'
_space_group_IT_number 191
_space_group_name_Hall '-P 6 2'
_cell_length_a 8.3474
_cell_length_b 8.3474
_cell_length_c 4.3166
_cell_angle_alpha 90.00
_cell_angle_beta 90.00
_cell_angle_gamma 120.00
loop_
_atom_site_label
_atom_site_fract_x
_atom_site_fract_y
_atom_site_fract_z
La1 0.0000 0.0000 0.0000
La2 0.0000 0.5000 0.0000
Si1 0.1659 0.3318 0.5000
Rh1 0.3333 0.6667 0.5000
```

No. 2
Structure and simulated powder X-ray diffraction pattern of Ba4TiCu3O9 (the PBE geometry in the Materials Project; Cu Kα, 1.54184 Å).

Most intense lines, 10 to 90 degrees two-theta, by angle:
d = 3.987 Å, 2θ 22.30, rel. 10, (2 0 0); d = 2.819 Å, 2θ 31.74, rel. 100, (2 2 0); d = 2.302 Å, 2θ 39.14, rel. 12, (2 2 2); d = 1.993 Å, 2θ 45.50, rel. 28, (4 0 0); d = 1.783 Å, 2θ 51.24, rel. 5, (4 2 0); d = 1.628 Å, 2θ 56.54, rel. 38, (4 2 2); d = 1.410 Å, 2θ 66.31, rel. 17, (4 4 0); d = 1.261 Å, 2θ 75.39, rel. 16, (6 2 0); d = 1.202 Å, 2θ 79.78, rel. 4, (6 2 2); d = 1.151 Å, 2θ 84.11, rel. 6, (4 4 4)

Atomic structure:
```
data_Ba4TiCu3O9
_space_group_name_H-M_alt 'P m -3 n'
_space_group_IT_number 223
_space_group_name_Hall '-P 4n 2 3'
_cell_length_a 7.974
_cell_length_b 7.974
_cell_length_c 7.974
_cell_angle_alpha 90.00
_cell_angle_beta 90.00
_cell_angle_gamma 90.00
loop_
_atom_site_label
_atom_site_fract_x
_atom_site_fract_y
_atom_site_fract_z
Ba1 0.250 0.250 0.250
Ti1 0.000 0.000 0.000
Cu1 0.000 0.000 0.500
O1 0.000 0.000 0.254
O2 0.000 0.250 0.500
```

No. 3
Structure and simulated powder X-ray diffraction pattern of K6ZnSe4 (the PBE geometry in the Materials Project; Cu Kα, 1.54184 Å).

Most intense lines, 10 to 90 degrees two-theta, by angle:
d = 5.948 Å, 2θ 14.89, rel. 41, (1 0 1); d = 4.461 Å, 2θ 19.91, rel. 24, (2 0 0); d = 3.894 Å, 2θ 22.84, rel. 23, (2 0 1); d = 3.106 Å, 2θ 28.74, rel. 55, (2 1 1); d = 2.974 Å, 2θ 30.05, rel. 78, (2 0 2); d = 2.787 Å, 2θ 32.12, rel. 43, (3 0 1); d = 2.575 Å, 2θ 34.84, rel. 100, (2 2 0); d = 2.549 Å, 2θ 35.20, rel. 27, (1 0 3); d = 2.285 Å, 2θ 39.44, rel. 28, (2 0 3); d = 1.622 Å, 2θ 56.75, rel. 24, (3 2 3)

Atomic structure:
```
data_K6ZnSe4
_space_group_name_H-M_alt 'P 63 m c'
_space_group_IT_number 186
_space_group_name_Hall 'P 6c -2c'
_cell_length_a 10.3011
_cell_length_b 10.3011
_cell_length_c 7.9810
_cell_angle_alpha 90.00
_cell_angle_beta 90.00
_cell_angle_gamma 120.00
loop_
_atom_site_label
_atom_site_fract_x
_atom_site_fract_y
_atom_site_fract_z
K1 0.0539 0.5269 0.0000
K2 0.1471 0.2941 0.6813
Zn1 0.3333 0.6667 0.3848
Se1 0.1967 0.3934 0.2851
Se2 0.3333 0.6667 0.7053
```

No. 4
Structure and simulated powder X-ray diffraction pattern of TmAgTe2 (the PBE geometry in the Materials Project; Cu Kα, 1.54184 Å).

Most intense lines, 10 to 90 degrees two-theta, by angle:
d = 3.760 Å, 2θ 23.66, rel. 20, (1 0 0); d = 3.312 Å, 2θ 26.92, rel. 60, (0 1 1); d = 2.562 Å, 2θ 35.03, rel. 100, (1 0 2); d = 2.171 Å, 2θ 41.60, rel. 53, (1 1 0); d = 1.982 Å, 2θ 45.77, rel. 14, (1 0 3); d = 1.816 Å, 2θ 50.25, rel. 11, (2 0 1); d = 1.656 Å, 2θ 55.48, rel. 26, (0 2 2); d = 1.393 Å, 2θ 67.22, rel. 9, (1 2 1); d = 1.362 Å, 2θ 68.93, rel. 23, (1 1 4); d = 1.317 Å, 2θ 71.67, rel. 24, (2 1 2)

Atomic structure:
```
data_TmAgTe2
_space_group_name_H-M_alt 'P -3 m 1'
_space_group_IT_number 164
_space_group_name_Hall '-P 3 2"'
_cell_length_a 4.3419
_cell_length_b 4.3419
_cell_length_c 6.9984
_cell_angle_alpha 90.00
_cell_angle_beta 90.00
_cell_angle_gamma 120.00
loop_
_atom_site_label
_atom_site_fract_x
_atom_site_fract_y
_atom_site_fract_z
Tm1 0.0000 0.0000 0.0000
Ag1 0.0000 0.0000 0.5000
Te1 0.3333 0.6667 0.2522
```

No. 5
Structure and simulated powder X-ray diffraction pattern of PNF2 (the PBE geometry in the Materials Project; Cu Kα, 1.54184 Å).

Most intense lines, 10 to 90 degrees two-theta, by angle:
d = 6.869 Å, 2θ 12.89, rel. 63, (0 0 2); d = 5.329 Å, 2θ 16.63, rel. 100, (1 1 1); d = 4.522 Å, 2θ 19.63, rel. 54, (0 2 0); d = 4.424 Å, 2θ 20.07, rel. 41, (1 1 2); d = 3.777 Å, 2θ 23.56, rel. 21, (0 2 2); d = 3.627 Å, 2θ 24.55, rel. 32, (2 0 1); d = 3.590 Å, 2θ 24.80, rel. 26, (1 1 3); d = 2.954 Å, 2θ 30.26, rel. 26, (1 1 4); d = 2.482 Å, 2θ 36.20, rel. 11, (1 1 5); d = 2.225 Å, 2θ 40.54, rel. 8, (2 3 2)

Atomic structure:
```
data_PNF2
_space_group_name_H-M_alt 'P n a 21'
_space_group_IT_number 33
_cell_length_a 7.520
_cell_length_b 9.043
_cell_length_c 13.738
_cell_angle_alpha 90.00
_cell_angle_beta 90.00
_cell_angle_gamma 90.00
loop_
_space_group_symop_operation_xyz
'x,y,z'
'-x,-y,z+1/2'
'-x+1/2,y+1/2,z+1/2'
'x+1/2,-y+1/2,z'
loop_
_atom_site_label
_atom_site_fract_x
_atom_site_fract_y
_atom_site_fract_z
P1 0.024 0.022 0.000
P2 0.159 0.460 0.590
P3 0.184 0.450 0.391
N1 0.072 0.428 0.487
N2 0.111 0.988 0.898
N3 0.139 0.008 0.096
F1 0.044 0.576 0.646
F2 0.065 0.822 0.497
F3 0.090 0.567 0.325
F4 0.127 0.325 0.658
F5 0.149 0.071 0.511
F6 0.158 0.312 0.324
```